No. 1
Starting from DFT lattice parameters and positions (PBE), the PXRD pattern of Nd3Dy5Er4 was calculated for CuKα.
Lines closer than 0.1° are merged.

Top 8 peaks for 10° ≤ 2θ ≤ 80°, low angle first:
- 2.909 Å, I = 100.0
- 2.519 Å, I = 50.6
- 1.782 Å, I = 24.1
- 1.780 Å, I = 12.0
- 1.521 Å, I = 17.9
- 1.519 Å, I = 17.9
- 1.517 Å, I = 7.1
- 1.455 Å, I = 6.2

Crystal structure
a = 6.172 Å, b = 7.125 Å, c = 8.726 Å
α = 90.03°, β = 90.12°, γ = 90.16°
Element x y z (fractional)
Nd 0.000 0.000 0.000
Nd 0.166 0.749 0.666
Nd 0.834 0.251 0.334
Dy 0.000 0.500 0.000
Dy 0.335 0.000 0.333
Dy 0.499 0.252 0.000
Dy 0.501 0.748 0.000
Dy 0.665 0.000 0.667
Er 0.168 0.252 0.666
Er 0.334 0.500 0.333
Er 0.666 0.500 0.667
Er 0.832 0.748 0.334

No. 2
Starting from DFT lattice parameters and positions (PBE), the PXRD pattern of Pm2Nd6DyEr was calculated for CuKα.
Lines closer than 0.1° are merged.

Top 8 peaks for 10° ≤ 2θ ≤ 80°, low angle first:
- 3.255 Å, I = 19.4
- 3.182 Å, I = 38.1
- 2.979 Å, I = 98.1
- 2.923 Å, I = 45.0
- 2.891 Å, I = 100.0
- 2.834 Å, I = 19.2
- 2.711 Å, I = 42.0
- 1.556 Å, I = 16.8

Crystal structure
a = 8.990 Å, b = 8.990 Å, c = 9.788 Å
α = 94.17°, β = 94.17°, γ = 118.09°
Element x y z (fractional)
Pm 0.197 0.298 0.043
Pm 0.298 0.197 0.543
Pm 0.702 0.803 0.457
Pm 0.803 0.702 0.957
Nd 0.013 0.571 0.190
Nd 0.121 0.757 0.554
Nd 0.243 0.879 0.946
Nd 0.292 0.503 0.382
Nd 0.429 0.987 0.310
Nd 0.497 0.708 0.118
Nd 0.503 0.292 0.882
Nd 0.571 0.013 0.690
Nd 0.708 0.497 0.618
Nd 0.757 0.121 0.054
Nd 0.879 0.243 0.446
Nd 0.987 0.429 0.810
Dy 0.022 0.978 0.250
Dy 0.978 0.022 0.750
Er 0.409 0.591 0.750
Er 0.591 0.409 0.250

No. 3
Starting from DFT lattice parameters and positions (PBE), the PXRD pattern of Pm6NdDy2Er3 was calculated for CuKα.
Lines closer than 0.1° are merged.

Top 8 peaks for 10° ≤ 2θ ≤ 80°, low angle first:
- 2.941 Å, I = 100.0
- 2.919 Å, I = 32.6
- 2.542 Å, I = 67.2
- 1.802 Å, I = 24.2
- 1.793 Å, I = 23.7
- 1.537 Å, I = 14.4
- 1.534 Å, I = 28.6
- 1.528 Å, I = 14.0

Crystal structure
a = 6.244 Å, b = 6.244 Å, c = 11.860 Å
α = 95.02°, β = 95.02°, γ = 120.00°
Element x y z (fractional)
Pm 0.081 0.415 0.248
Pm 0.251 0.251 0.752
Pm 0.415 0.081 0.248
Pm 0.585 0.919 0.752
Pm 0.749 0.749 0.248
Pm 0.919 0.585 0.752
Nd 0.500 0.500 0.500
Dy 0.167 0.833 0.500
Dy 0.833 0.167 0.500
Er 0.000 0.000 0.000
Er 0.333 0.667 0.000
Er 0.667 0.333 0.000

No. 4
Starting from DFT lattice parameters and positions (PBE), the PXRD pattern of PmNdDyEr was calculated for CuKα.
Lines closer than 0.1° are merged.

Top 8 peaks for 10° ≤ 2θ ≤ 80°, low angle first:
- 2.935 Å, I = 100.0
- 2.546 Å, I = 33.9
- 2.534 Å, I = 16.7
- 1.801 Å, I = 12.1
- 1.796 Å, I = 24.1
- 1.535 Å, I = 28.8
- 1.529 Å, I = 14.2
- 1.468 Å, I = 12.4

Crystal structure
a = 6.217 Å, b = 6.217 Å, c = 6.217 Å
α = 131.64°, β = 131.64°, γ = 70.80°
Element x y z (fractional)
Pm 0.000 0.000 0.000
Nd 0.750 0.250 0.500
Dy 0.250 0.750 0.500
Er 0.500 0.500 0.000

No. 5
Starting from DFT lattice parameters and positions (PBE), the PXRD pattern of Pm2Nd4DyEr was calculated for CuKα.
Lines closer than 0.1° are merged.

Top 8 peaks for 10° ≤ 2θ ≤ 80°, low angle first:
- 2.967 Å, I = 100.0
- 2.582 Å, I = 17.1
- 2.570 Å, I = 16.9
- 2.555 Å, I = 16.6
- 1.815 Å, I = 18.1
- 1.555 Å, I = 14.6
- 1.550 Å, I = 14.4
- 1.543 Å, I = 14.2

Crystal structure
a = 5.141 Å, b = 5.164 Å, c = 10.221 Å
α = 90.00°, β = 90.09°, γ = 90.00°
Element x y z (fractional)
Pm 0.000 0.000 0.000
Pm 0.500 0.500 0.500
Nd 0.000 0.500 0.249
Nd 0.000 0.500 0.751
Nd 0.500 0.000 0.250
Nd 0.500 0.000 0.750
Dy 0.000 0.000 0.500
Er 0.500 0.500 0.000

No. 6
Starting from DFT lattice parameters and positions (PBE), the PXRD pattern of PmNd4DyEr2 was calculated for CuKα.
Lines closer than 0.1° are merged.

Top 8 peaks for 10° ≤ 2θ ≤ 80°, low angle first:
- 2.955 Å, I = 100.0
- 2.932 Å, I = 32.6
- 2.557 Å, I = 44.9
- 2.549 Å, I = 22.3
- 1.810 Å, I = 16.1
- 1.801 Å, I = 23.8
- 1.546 Å, I = 9.7
- 1.542 Å, I = 23.9

Crystal structure
a = 6.263 Å, b = 3.629 Å, c = 11.917 Å
α = 90.00°, β = 100.19°, γ = 90.00°
Element x y z (fractional)
Pm 0.000 0.000 0.000
Nd 0.251 0.000 0.750
Nd 0.251 0.500 0.253
Nd 0.749 0.000 0.250
Nd 0.749 0.500 0.747
Dy 0.000 0.500 0.500
Er 0.500 0.000 0.500
Er 0.500 0.500 0.000

No. 7
Starting from DFT lattice parameters and positions (PBE), the PXRD pattern of Pr2NdDyEr2 was calculated for CuKα.
Lines closer than 0.1° are merged.

Top 8 peaks for 10° ≤ 2θ ≤ 80°, low angle first:
- 2.878 Å, I = 90.9
- 2.852 Å, I = 100.0
- 2.026 Å, I = 33.3
- 1.651 Å, I = 34.8
- 1.646 Å, I = 19.4
- 1.504 Å, I = 29.1
- 1.278 Å, I = 14.7
- 1.206 Å, I = 13.9

Crystal structure
a = 7.083 Å, b = 5.705 Å, c = 9.876 Å
α = 90.00°, β = 90.00°, γ = 90.00°
Element x y z (fractional)
Pr 0.000 0.000 0.000
Pr 0.250 0.500 0.176
Pr 0.500 0.000 0.000
Pr 0.750 0.500 0.824
Nd 0.250 0.000 0.659
Nd 0.750 0.000 0.341
Dy 0.000 0.500 0.500
Dy 0.500 0.500 0.500
Er 0.250 0.000 0.332
Er 0.250 0.500 0.835
Er 0.750 0.000 0.668
Er 0.750 0.500 0.165

No. 8
Starting from DFT lattice parameters and positions (PBE), the PXRD pattern of Pr2Nd2DyEr was calculated for CuKα.
Lines closer than 0.1° are merged.

Top 8 peaks for 10° ≤ 2θ ≤ 80°, low angle first:
- 2.894 Å, I = 92.3
- 2.873 Å, I = 100.0
- 2.039 Å, I = 33.9
- 1.663 Å, I = 35.5
- 1.659 Å, I = 19.4
- 1.512 Å, I = 28.9
- 1.287 Å, I = 14.9
- 1.213 Å, I = 13.8

Crystal structure
a = 7.114 Å, b = 5.747 Å, c = 9.952 Å
α = 90.00°, β = 90.00°, γ = 90.00°
Element x y z (fractional)
Pr 0.000 0.000 0.000
Pr 0.250 0.500 0.178
Pr 0.500 0.000 0.000
Pr 0.750 0.500 0.822
Nd 0.250 0.000 0.332
Nd 0.250 0.500 0.836
Nd 0.750 0.000 0.668
Nd 0.750 0.500 0.164
Dy 0.250 0.000 0.659
Dy 0.750 0.000 0.341
Er 0.000 0.500 0.500
Er 0.500 0.500 0.500

No. 9
Starting from DFT lattice parameters and positions (PBE), the PXRD pattern of PrNd2DyEr was calculated for CuKα.
Lines closer than 0.1° are merged.

Top 8 peaks for 10° ≤ 2θ ≤ 80°, low angle first:
- 3.114 Å, I = 100.0
- 3.043 Å, I = 40.5
- 2.952 Å, I = 18.5
- 2.797 Å, I = 23.4
- 2.774 Å, I = 33.6
- 2.701 Å, I = 17.5
- 2.654 Å, I = 19.4
- 2.011 Å, I = 16.7

Crystal structure
a = 8.341 Å, b = 6.708 Å, c = 6.237 Å
α = 90.00°, β = 91.83°, γ = 90.00°
Element x y z (fractional)
Pr 0.000 0.000 0.000
Pr 0.000 0.000 0.500
Nd 0.308 0.309 0.240
Nd 0.308 0.691 0.740
Nd 0.692 0.309 0.260
Nd 0.692 0.691 0.760
Dy 0.000 0.427 0.750
Dy 0.000 0.573 0.250
Er 0.500 0.158 0.750
Er 0.500 0.842 0.250

No. 10
Starting from DFT lattice parameters and positions (PBE), the PXRD pattern of PrNd2Dy2Er2 was calculated for CuKα.
Lines closer than 0.1° are merged.

Top 8 peaks for 10° ≤ 2θ ≤ 80°, low angle first:
- 3.245 Å, I = 43.0
- 2.943 Å, I = 100.0
- 2.773 Å, I = 39.3
- 2.659 Å, I = 49.8
- 2.525 Å, I = 42.3
- 2.354 Å, I = 21.2
- 1.732 Å, I = 18.9
- 1.508 Å, I = 27.0

Crystal structure
a = 9.064 Å, b = 9.064 Å, c = 8.498 Å
α = 116.32°, β = 116.32°, γ = 22.34°
Element x y z (fractional)
Pr 0.000 0.000 0.000
Nd 0.352 0.352 0.115
Nd 0.648 0.648 0.885
Dy 0.429 0.429 0.593
Dy 0.571 0.571 0.407
Er 0.212 0.212 0.301
Er 0.788 0.788 0.699

No. 11
Starting from DFT lattice parameters and positions (PBE), the PXRD pattern of Pr4Nd2DyEr was calculated for CuKα.
Lines closer than 0.1° are merged.

Top 8 peaks for 10° ≤ 2θ ≤ 80°, low angle first:
- 2.986 Å, I = 100.0
- 2.603 Å, I = 17.2
- 2.587 Å, I = 16.9
- 2.569 Å, I = 16.6
- 1.567 Å, I = 14.7
- 1.560 Å, I = 14.5
- 1.552 Å, I = 14.2
- 1.493 Å, I = 12.5

Crystal structure
a = 5.174 Å, b = 5.207 Å, c = 10.275 Å
α = 90.00°, β = 90.11°, γ = 90.00°
Element x y z (fractional)
Pr 0.000 0.000 0.249
Pr 0.000 0.000 0.751
Pr 0.500 0.500 0.250
Pr 0.500 0.500 0.750
Nd 0.000 0.500 0.000
Nd 0.500 0.000 0.500
Dy 0.000 0.500 0.500
Er 0.500 0.000 0.000

No. 12
Starting from DFT lattice parameters and positions (PBE), the PXRD pattern of NdDy4ErS8 was calculated for CuKα.
Lines closer than 0.1° are merged.

Top 8 peaks for 10° ≤ 2θ ≤ 80°, low angle first:
- 4.042 Å, I = 25.2
- 3.447 Å, I = 100.0
- 3.300 Å, I = 14.9
- 2.858 Å, I = 19.9
- 2.333 Å, I = 11.3
- 2.200 Å, I = 42.2
- 2.021 Å, I = 57.4
- 1.489 Å, I = 18.3

Crystal structure
a = 8.075 Å, b = 8.075 Å, c = 8.075 Å
α = 60.12°, β = 60.12°, γ = 60.12°
Element x y z (fractional)
Nd 0.000 0.000 0.000
Dy 0.376 0.376 0.873
Dy 0.376 0.873 0.376
Dy 0.751 0.751 0.751
Dy 0.873 0.376 0.376
Er 0.376 0.376 0.376
S 0.136 0.136 0.136
S 0.138 0.138 0.591
S 0.138 0.591 0.138
S 0.148 0.616 0.616
S 0.591 0.138 0.138
S 0.616 0.148 0.616
S 0.616 0.616 0.148
S 0.619 0.619 0.619